1.
Calculated X-ray powder pattern
Compound: CuReRu
Radiation: Cu Kα, 1.54184 Å
Structure: the GGA-PBE geometry in Alexandria
Peak positions follow from Bragg's law for the DFT cell and can differ from measured ones.

Main lines, by angle (2θ = 15–90°):
| two_theta | I (rel.) |
| --- | --- |
| 22.35 | 20 |
| 26.30 | 24 |
| 40.68 | 100 |
| 41.73 | 93 |
| 47.62 | 63 |
| 48.62 | 30 |
| 70.42 | 38 |
| 83.19 | 25 |
| 85.28 | 23 |
| 88.07 | 13 |

Atomic structure:
a b c (Å): 2.752 3.745 7.956
angles (deg): 90.00 90.00 90.00
Element x y z (fractional)
Cu1 0.000 0.000 0.000
Cu2 0.500 0.500 0.500
Re1 0.000 0.000 0.668
Re2 0.500 0.500 0.168
Ru1 0.000 0.000 0.331
Ru2 0.500 0.500 0.831

=====

2.
Calculated X-ray powder pattern
Compound: Mg4ZnCu
Radiation: Cu Kα, 1.54184 Å
Structure: the GGA-PBE geometry in Alexandria
Peak positions follow from Bragg's law for the DFT cell and can differ from measured ones.

Main lines, by angle (2θ = 15–90°):
| two_theta | I (rel.) |
| --- | --- |
| 19.07 | 100 |
| 27.09 | 28 |
| 34.91 | 41 |
| 38.69 | 35 |
| 39.31 | 69 |
| 43.47 | 68 |
| 44.04 | 63 |
| 67.06 | 18 |
| 70.43 | 23 |
| 87.70 | 16 |

Atomic structure:
a b c (Å): 6.583 6.583 5.267
angles (deg): 90.00 90.00 90.00
Element x y z (fractional)
Mg1 0.165 0.335 0.250
Mg2 0.165 0.665 0.750
Mg3 0.335 0.165 0.750
Mg4 0.335 0.835 0.250
Mg5 0.665 0.165 0.250
Mg6 0.665 0.835 0.750
Mg7 0.835 0.335 0.750
Mg8 0.835 0.665 0.250
Zn1 0.000 0.000 0.500
Zn2 0.500 0.500 0.000
Cu1 0.000 0.000 0.000
Cu2 0.500 0.500 0.500

=====

3.
Calculated X-ray powder pattern
Compound: NpTiTe2O
Radiation: Cu Kα, 1.54184 Å
Structure: the GGA-PBE geometry in Alexandria
Peak positions follow from Bragg's law for the DFT cell and can differ from measured ones.

Main lines, by angle (2θ = 15–90°):
| two_theta | I (rel.) |
| --- | --- |
| 32.11 | 100 |
| 34.82 | 68 |
| 35.21 | 21 |
| 35.78 | 16 |
| 39.86 | 60 |
| 44.28 | 21 |
| 50.06 | 27 |
| 60.73 | 32 |
| 64.91 | 19 |
| 65.82 | 28 |

Atomic structure:
a b c (Å): 3.644 3.644 17.305
angles (deg): 90.00 90.00 90.00
Element x y z (fractional)
Np1 0.250 0.250 0.043
Np2 0.750 0.750 0.957
Ti1 0.250 0.250 0.558
Ti2 0.750 0.750 0.442
Te1 0.250 0.250 0.342
Te2 0.250 0.250 0.858
Te3 0.750 0.750 0.142
Te4 0.750 0.750 0.658
O1 0.250 0.750 0.500
O2 0.750 0.250 0.500

=====

4.
Calculated X-ray powder pattern
Compound: SrAgH6Pt
Radiation: Cu Kα, 1.54184 Å
Structure: the GGA-PBE geometry in Alexandria
Peak positions follow from Bragg's law for the DFT cell and can differ from measured ones.

Main lines, by angle (2θ = 15–90°):
| two_theta | I (rel.) |
| --- | --- |
| 19.57 | 31 |
| 20.70 | 16 |
| 28.63 | 100 |
| 36.26 | 65 |
| 39.73 | 16 |
| 41.53 | 27 |
| 46.84 | 26 |
| 54.88 | 40 |
| 60.64 | 24 |
| 79.16 | 14 |

Atomic structure:
a b c (Å): 4.955 4.955 4.537
angles (deg): 90.00 90.00 120.00
Element x y z (fractional)
Sr1 0.000 0.000 0.000
Ag1 0.333 0.667 0.500
H1 0.518 0.035 0.242
H2 0.518 0.035 0.758
H3 0.518 0.482 0.242
H4 0.518 0.482 0.758
H5 0.965 0.482 0.242
H6 0.965 0.482 0.758
Pt1 0.667 0.333 0.500

=====

5.
Calculated X-ray powder pattern
Compound: PuTlH3
Radiation: Cu Kα, 1.54184 Å
Structure: the GGA-PBE geometry in Alexandria
Peak positions follow from Bragg's law for the DFT cell and can differ from measured ones.

Main lines, by angle (2θ = 15–90°):
| two_theta | I (rel.) |
| --- | --- |
| 21.12 | 1 |
| 30.04 | 100 |
| 42.99 | 20 |
| 53.34 | 42 |
| 62.43 | 13 |
| 70.82 | 18 |
| 78.80 | 5 |
| 86.56 | 22 |

Atomic structure:
a b c (Å): 4.207 4.207 4.207
angles (deg): 90.00 90.00 90.00
Element x y z (fractional)
Pu1 0.000 0.000 0.000
Tl1 0.500 0.500 0.500
H1 0.000 0.000 0.500
H2 0.000 0.500 0.000
H3 0.500 0.000 0.000

=====

6.
Calculated X-ray powder pattern
Compound: Mg2HgPb
Radiation: Cu Kα, 1.54184 Å
Structure: the GGA-PBE geometry in Alexandria
Peak positions follow from Bragg's law for the DFT cell and can differ from measured ones.

Main lines, by angle (2θ = 15–90°):
| two_theta | I (rel.) |
| --- | --- |
| 17.58 | 30 |
| 21.84 | 70 |
| 25.96 | 51 |
| 27.03 | 58 |
| 32.70 | 58 |
| 33.20 | 100 |
| 35.76 | 24 |
| 36.62 | 30 |
| 38.13 | 72 |
| 44.07 | 30 |

Atomic structure:
a b c (Å): 11.113 3.459 5.118
angles (deg): 90.00 99.72 90.00
Element x y z (fractional)
Mg1 0.000 0.000 0.000
Mg2 0.245 0.000 0.668
Mg3 0.500 0.500 0.000
Mg4 0.745 0.500 0.668
Hg1 0.003 0.500 0.520
Hg2 0.503 0.000 0.520
Pb1 0.247 0.500 0.171
Pb2 0.747 0.000 0.171

=====

7.
Calculated X-ray powder pattern
Compound: MgScZn11
Radiation: Cu Kα, 1.54184 Å
Structure: the GGA-PBE geometry in Alexandria
Peak positions follow from Bragg's law for the DFT cell and can differ from measured ones.

Main lines, by angle (2θ = 15–90°):
| two_theta | I (rel.) |
| --- | --- |
| 19.41 | 33 |
| 33.58 | 36 |
| 34.82 | 47 |
| 39.40 | 57 |
| 39.58 | 48 |
| 40.62 | 46 |
| 40.78 | 80 |
| 41.03 | 85 |
| 44.82 | 100 |
| 45.95 | 59 |

Atomic structure:
a b c (Å): 6.747 6.747 6.778
angles (deg): 98.81 98.81 133.40
Element x y z (fractional)
Mg1 0.000 0.000 0.000
Sc1 0.000 0.000 0.500
Zn1 0.000 0.500 0.500
Zn2 0.003 0.358 0.847
Zn3 0.292 0.508 0.289
Zn4 0.358 0.003 0.847
Zn5 0.492 0.708 0.711
Zn6 0.500 0.000 0.500
Zn7 0.500 0.500 0.000
Zn8 0.508 0.292 0.289
Zn9 0.642 0.997 0.153
Zn10 0.708 0.492 0.711
Zn11 0.997 0.642 0.153

=====

8.
Calculated X-ray powder pattern
Compound: AlTe2O6
Radiation: Cu Kα, 1.54184 Å
Structure: the GGA-PBE geometry in Alexandria
Peak positions follow from Bragg's law for the DFT cell and can differ from measured ones.

Main lines, by angle (2θ = 15–90°):
| two_theta | I (rel.) |
| --- | --- |
| 21.09 | 26 |
| 24.16 | 99 |
| 24.66 | 100 |
| 30.17 | 93 |
| 32.99 | 45 |
| 33.83 | 49 |
| 34.13 | 24 |
| 38.47 | 39 |
| 40.90 | 25 |
| 55.24 | 26 |

Atomic structure:
a b c (Å): 6.824 6.824 5.031
angles (deg): 97.18 97.18 101.90
Element x y z (fractional)
Al1 0.077 0.923 0.750
Al2 0.923 0.077 0.250
Te1 0.207 0.446 0.847
Te2 0.446 0.207 0.347
Te3 0.554 0.793 0.653
Te4 0.793 0.554 0.153
O1 0.052 0.655 0.847
O2 0.066 0.176 0.611
O3 0.176 0.066 0.111
O4 0.312 0.511 0.514
O5 0.345 0.948 0.653
O6 0.489 0.688 0.986
O7 0.511 0.312 0.014
O8 0.655 0.052 0.347
O9 0.688 0.489 0.486
O10 0.824 0.934 0.889
O11 0.934 0.824 0.389
O12 0.948 0.345 0.153

=====

9.
Calculated X-ray powder pattern
Compound: CsInI3
Radiation: Cu Kα, 1.54184 Å
Structure: the GGA-PBE geometry in Alexandria
Peak positions follow from Bragg's law for the DFT cell and can differ from measured ones.

Main lines, by angle (2θ = 15–90°):
| two_theta | I (rel.) |
| --- | --- |
| 20.20 | 19 |
| 24.80 | 75 |
| 28.71 | 100 |
| 41.05 | 74 |
| 48.56 | 34 |
| 50.87 | 26 |
| 59.46 | 12 |
| 65.42 | 13 |
| 67.34 | 32 |
| 74.80 | 24 |

Atomic structure:
a b c (Å): 8.794 8.794 8.794
angles (deg): 60.00 60.00 60.00
Element x y z (fractional)
Cs1 0.250 0.250 0.250
Cs2 0.750 0.750 0.750
In1 0.000 0.000 0.000
In2 0.500 0.500 0.500
I1 0.240 0.240 0.760
I2 0.240 0.760 0.240
I3 0.240 0.760 0.760
I4 0.760 0.240 0.240
I5 0.760 0.240 0.760
I6 0.760 0.760 0.240

=====

10.
Calculated X-ray powder pattern
Compound: Ti5In4Co
Radiation: Cu Kα, 1.54184 Å
Structure: the GGA-PBE geometry in Alexandria
Peak positions follow from Bragg's law for the DFT cell and can differ from measured ones.

Main lines, by angle (2θ = 15–90°):
| two_theta | I (rel.) |
| --- | --- |
| 29.27 | 39 |
| 35.24 | 100 |
| 39.92 | 26 |
| 41.41 | 43 |
| 57.38 | 10 |
| 58.87 | 29 |
| 59.99 | 12 |
| 69.48 | 12 |
| 71.53 | 18 |
| 74.51 | 12 |

Atomic structure:
a b c (Å): 6.921 6.921 6.921
angles (deg): 96.11 96.11 141.91
Element x y z (fractional)
Ti1 0.000 0.000 0.000
Ti2 0.321 0.321 0.642
Ti3 0.321 0.679 0.000
Ti4 0.679 0.321 0.000
Ti5 0.679 0.679 0.358
In1 0.000 0.315 0.315
In2 0.000 0.685 0.685
In3 0.315 0.000 0.315
In4 0.685 0.000 0.685
Co1 0.500 0.500 0.000

=====

11.
Calculated X-ray powder pattern
Compound: CsTaNbO6
Radiation: Cu Kα, 1.54184 Å
Structure: the GGA-PBE geometry in Alexandria
Peak positions follow from Bragg's law for the DFT cell and can differ from measured ones.

Main lines, by angle (2θ = 15–90°):
| two_theta | I (rel.) |
| --- | --- |
| 22.81 | 100 |
| 23.07 | 76 |
| 23.26 | 73 |
| 27.66 | 38 |
| 31.93 | 56 |
| 32.71 | 26 |
| 42.63 | 26 |
| 42.85 | 40 |
| 51.57 | 29 |
| 57.91 | 27 |

Atomic structure:
a b c (Å): 5.608 5.608 6.450
angles (deg): 90.26 90.26 121.55
Element x y z (fractional)
Cs1 0.000 0.000 0.000
Ta1 0.321 0.679 0.500
Nb1 0.679 0.321 0.500
O1 0.001 0.429 0.684
O2 0.002 0.572 0.315
O3 0.403 0.406 0.353
O4 0.428 0.998 0.685
O5 0.571 0.999 0.316
O6 0.594 0.597 0.647

=====

12.
Calculated X-ray powder pattern
Compound: CaLaPr2Bi4
Radiation: Cu Kα, 1.54184 Å
Structure: the GGA-PBE geometry in Alexandria
Peak positions follow from Bragg's law for the DFT cell and can differ from measured ones.

Main lines, by angle (2θ = 15–90°):
| two_theta | I (rel.) |
| --- | --- |
| 23.40 | 14 |
| 27.08 | 100 |
| 38.67 | 79 |
| 47.85 | 29 |
| 55.88 | 9 |
| 63.12 | 25 |
| 63.18 | 13 |
| 69.99 | 28 |
| 82.94 | 9 |
| 89.25 | 19 |

Atomic structure:
a b c (Å): 6.581 6.581 13.187
angles (deg): 90.00 90.00 90.00
Element x y z (fractional)
Ca1 0.000 0.000 0.000
Ca2 0.500 0.500 0.500
La1 0.000 0.000 0.500
La2 0.500 0.500 0.000
Pr1 0.000 0.500 0.250
Pr2 0.000 0.500 0.750
Pr3 0.500 0.000 0.250
Pr4 0.500 0.000 0.750
Bi1 0.000 0.000 0.250
Bi2 0.000 0.000 0.750
Bi3 0.000 0.500 0.000
Bi4 0.000 0.500 0.500
Bi5 0.500 0.000 0.000
Bi6 0.500 0.000 0.500
Bi7 0.500 0.500 0.250
Bi8 0.500 0.500 0.750